No. 1
Structure and simulated powder diffractogram of Nd3ThCd4 (a DFT-relaxed cell (PBE, Alexandria); λ = 1.5418 Å (Cu Kα)).
Kinematic intensities with the Lorentz-polarization factor, no thermal factor.

Atomic structure:
Cell lengths 10.891, 7.704, 5.447 Å; angles 90.00, 90.00, 90.00 degrees
Element x y z (fractional)
Nd  0.000  0.000  0.000
Nd  0.250  0.000  0.497
Nd  0.250  0.500  0.497
Nd  0.500  0.000  0.000
Nd  0.750  0.000  0.503
Nd  0.750  0.500  0.503
Th  0.000  0.500  0.000
Th  0.500  0.500  0.000
Cd  0.000  0.249  0.500
Cd  0.000  0.751  0.500
Cd  0.250  0.249  0.997
Cd  0.250  0.751  0.997
Cd  0.500  0.249  0.500
Cd  0.500  0.751  0.500
Cd  0.750  0.249  0.003
Cd  0.750  0.751  0.003

Peak list (10 most intense, 15° ≤ 2θ ≤ 90°, low angle first)
| 2θ/deg | I (rel.) |
| --- | --- |
| 20.0 | 1 |
| 23.1 | 4 |
| 32.9 | 100 |
| 40.6 | 1 |
| 47.2 | 18 |
| 53.2 | 2 |
| 58.7 | 37 |
| 69.0 | 11 |
| 78.5 | 16 |
| 87.8 | 4 |



No. 2
Structure and simulated powder diffractogram of K3SmF8 (a DFT-relaxed cell (PBE, Alexandria); λ = 1.5418 Å (Cu Kα)).
Kinematic intensities with the Lorentz-polarization factor, no thermal factor.

Atomic structure:
Cell lengths 7.529, 7.529, 7.529 Å; angles 132.59, 132.59, 69.31 degrees
Element x y z (fractional)
K  0.000  0.000  0.000
K  0.250  0.750  0.500
K  0.750  0.250  0.500
Sm  0.500  0.500  0.000
F  0.167  0.167  0.558
F  0.167  0.610  0.000
F  0.390  0.390  0.558
F  0.390  0.833  0.000
F  0.610  0.167  0.000
F  0.610  0.610  0.442
F  0.833  0.390  0.000
F  0.833  0.833  0.442

Peak list (10 most intense, 15° ≤ 2θ ≤ 90°, low angle first)
| 2θ/deg | I (rel.) |
| --- | --- |
| 16.3 | 62 |
| 20.7 | 13 |
| 25.3 | 100 |
| 39.8 | 12 |
| 41.7 | 56 |
| 42.2 | 27 |
| 49.0 | 15 |
| 49.9 | 35 |
| 66.6 | 12 |
| 76.8 | 13 |